# 1
Diffraction record for ThCu6Au. The X-ray powder pattern is simulated, not measured: it uses DFT lattice parameters and positions (GGA-PBE) and Cu Kα (λ = 1.5418 Å).

Cell and atoms:
a = 5.0304 Å, b = 5.0304 Å, c = 5.0304 Å
α = 90.00°, β = 90.00°, γ = 90.00°
Sites, in units of the cell vectors:
1 Th 0.0000 0.0000 0.0000
2 Cu 0.0000 0.5000 0.2604
3 Cu 0.0000 0.5000 0.7396
4 Cu 0.2604 0.0000 0.5000
5 Cu 0.5000 0.2604 0.0000
6 Cu 0.5000 0.7396 0.0000
7 Cu 0.7396 0.0000 0.5000
8 Au 0.5000 0.5000 0.5000

Principal peaks in the range 10 to 80 degrees two-theta, low angle first:
- 2θ 25.0, d 3.557, I = 55
- 2θ 30.8, d 2.904, I = 1
- 2θ 35.7, d 2.515, I = 45
- 2θ 40.1, d 2.250, I = 32
- 2θ 44.1, d 2.054, I = 100
- 2θ 51.4, d 1.779, I = 9
- 2θ 58.0, d 1.591, I = 12
- 2θ 67.1, d 1.395, I = 6
- 2θ 70.0, d 1.344, I = 51
- 2θ 75.6, d 1.258, I = 11

# 2
Diffraction record for Tb2ThScSb4. The X-ray powder pattern is simulated, not measured: it uses DFT lattice parameters and positions (GGA-PBE) and Cu Kα (λ = 1.5418 Å).

Cell and atoms:
a = 7.5615 Å, b = 4.3929 Å, c = 7.6010 Å
α = 90.00°, β = 109.51°, γ = 90.00°
Sites, in units of the cell vectors:
1 Tb 0.0000 0.0000 0.0000
2 Tb 0.5000 0.5000 0.0000
3 Th 0.0000 0.5000 0.5000
4 Sc 0.5000 0.0000 0.5000
5 Sb 0.2610 0.0000 0.7506
6 Sb 0.2629 0.5000 0.2577
7 Sb 0.7371 0.5000 0.7423
8 Sb 0.7390 0.0000 0.2494

Principal peaks in the range 10 to 80 degrees two-theta, low angle first:
- 2θ 28.8, d 3.098, I = 100
- 2θ 41.1, d 2.195, I = 38
- 2θ 41.3, d 2.187, I = 37
- 2θ 51.0, d 1.791, I = 20
- 2θ 51.3, d 1.782, I = 6
- 2θ 59.7, d 1.549, I = 12
- 2θ 67.5, d 1.388, I = 17
- 2θ 67.7, d 1.383, I = 17
- 2θ 74.9, d 1.267, I = 6
- 2θ 75.0, d 1.266, I = 13

# 3
Diffraction record for TcGe2I8. The X-ray powder pattern is simulated, not measured: it uses DFT lattice parameters and positions (GGA-PBE) and Cu Kα (λ = 1.5418 Å).

Cell and atoms:
a = 8.2963 Å, b = 8.2963 Å, c = 7.7979 Å
α = 99.51°, β = 99.51°, γ = 89.84°
Sites, in units of the cell vectors:
1 Tc 0.0000 0.0000 0.0000
2 Ge 0.1567 0.1567 0.5762
3 Ge 0.8433 0.8433 0.4238
4 I 0.0996 0.7678 0.2070
5 I 0.2212 0.2212 0.2126
6 I 0.2322 0.9004 0.7930
7 I 0.3777 0.3777 0.7412
8 I 0.6223 0.6223 0.2588
9 I 0.7678 0.0996 0.2070
10 I 0.7788 0.7788 0.7874
11 I 0.9004 0.2322 0.7930

Principal peaks in the range 10 to 80 degrees two-theta, low angle first:
- 2θ 10.8, d 8.180, I = 100
- 2θ 15.1, d 5.858, I = 78
- 2θ 22.9, d 3.881, I = 58
- 2θ 23.5, d 3.791, I = 55
- 2θ 24.1, d 3.692, I = 49
- 2θ 24.8, d 3.593, I = 34
- 2θ 29.3, d 3.046, I = 49
- 2θ 29.6, d 3.018, I = 87
- 2θ 32.5, d 2.752, I = 97
- 2θ 45.1, d 2.010, I = 38